Structure and simulated XRD peak list of Ni5Te4Br2O12 (a DFT-relaxed cell (PBE+U, Alexandria); λ = 1.5418 Å (Cu Kα)).
Neutral-atom scattering factors, no anomalous dispersion.

Cell and atoms:
Cell: 20.5323 5.3171 16.4261 Å, 90.00 124.77 90.00°
Space group C2/c (No. 15)
One atom of each set of equivalent atoms:
Ni (0.0000, 0.2438, 0.2500) [4 per cell]
Ni (0.0092, 0.2183, 0.6216) [8 per cell]
Ni (0.0859, 0.2153, 0.4711) [8 per cell]
Te (0.1209, 0.3188, 0.1363) [8 per cell]
Te (0.1430, 0.2863, 0.8795) [8 per cell]
Br (0.2370, 0.3171, 0.5984) [8 per cell]
O (0.0388, 0.1663, 0.1432) [8 per cell]
O (0.0624, 0.4944, 0.3688) [8 per cell]
O (0.0684, 0.3790, 0.5690) [8 per cell]
O (0.0747, 0.0079, 0.8548) [8 per cell]
O (0.0921, 0.1450, 0.0183) [8 per cell]
O (0.1118, 0.3369, 0.7497) [8 per cell]

Main lines, by angle (10° ≤ 2θ ≤ 90°):
2θ/deg	d_spacing	I (rel.)	(hkl)
10.5	8.434	43	2 0 0
23.8	3.746	41	3 1 -3
26.4	3.375	78	0 0 4
27.9	3.202	100	5 1 -3
28.7	3.109	60	1 1 3
32.2	2.783	39	3 1 -5
33.7	2.658	51	0 2 0
34.9	2.568	31	7 1 -3
35.2	2.550	49	5 1 1
45.9	1.977	22	8 0 -8